Entry 1:
This entry pairs a crystal structure of Pd3PtPb6 with its calculated powder diffractogram. Radiation: Cu Kα (weighted mean of Kα1 and Kα2). Structure: DFT lattice parameters and positions (PBE).

Atomic structure:
```
data_Pd3PtPb6
_chemical_formula_sum 'Pd6 Pt2 Pb12'
_symmetry_space_group_name_H-M 'P 1'
_symmetry_Int_Tables_number 1
_symmetry_space_group_name_Hall 'P 1'
_cell_length_a 7.253
_cell_length_b 6.925
_cell_length_c 11.589
_cell_angle_alpha 90.00
_cell_angle_beta 122.86
_cell_angle_gamma 90.00
loop_
_atom_site_label
_atom_site_type_symbol
_atom_site_fract_x
_atom_site_fract_y
_atom_site_fract_z
Pd1 Pd 0.000 0.000 0.000
Pd2 Pd 0.000 0.500 0.500
Pd3 Pd 0.182 0.179 0.715
Pd4 Pd 0.182 0.321 0.215
Pd5 Pd 0.818 0.679 0.785
Pd6 Pd 0.818 0.821 0.285
Pt1 Pt 0.500 0.000 0.500
Pt2 Pt 0.500 0.500 0.000
Pb1 Pb 0.093 0.151 0.424
Pb2 Pb 0.093 0.349 0.924
Pb3 Pb 0.265 0.648 0.408
Pb4 Pb 0.265 0.852 0.908
Pb5 Pb 0.431 0.513 0.739
Pb6 Pb 0.431 0.987 0.239
Pb7 Pb 0.569 0.013 0.761
Pb8 Pb 0.569 0.487 0.261
Pb9 Pb 0.735 0.148 0.092
Pb10 Pb 0.735 0.352 0.592
Pb11 Pb 0.907 0.651 0.076
Pb12 Pb 0.907 0.849 0.576
```

Peak list (10 most intense, 10° ≤ 2θ ≤ 90°, by intensity)
2θ = 28.59°, I = 100
2θ = 31.32°, I = 70
2θ = 41.05°, I = 59
2θ = 38.00°, I = 56
2θ = 42.29°, I = 50
2θ = 45.58°, I = 45
2θ = 29.03°, I = 42
2θ = 29.68°, I = 41
2θ = 39.41°, I = 35
2θ = 27.88°, I = 33

=====

Entry 2:
This entry pairs a crystal structure of PdPtPb4 with its calculated powder diffractogram. Radiation: Cu Kα (weighted mean of Kα1 and Kα2). Structure: DFT lattice parameters and positions (PBE).

Atomic structure:
```
data_PdPtPb4
_chemical_formula_sum 'Pd1 Pt1 Pb4'
_symmetry_space_group_name_H-M 'P 1'
_symmetry_Int_Tables_number 1
_symmetry_space_group_name_Hall 'P 1'
_cell_length_a 5.777
_cell_length_b 5.777
_cell_length_c 5.777
_cell_angle_alpha 105.01
_cell_angle_beta 105.01
_cell_angle_gamma 118.81
loop_
_atom_site_label
_atom_site_type_symbol
_atom_site_fract_x
_atom_site_fract_y
_atom_site_fract_z
Pd1 Pd 0.000 0.000 0.000
Pt1 Pt 0.500 0.500 0.000
Pb1 Pb 0.089 0.911 0.500
Pb2 Pb 0.411 0.589 0.500
Pb3 Pb 0.589 0.089 0.177
Pb4 Pb 0.911 0.411 0.823
```

Peak list (10 most intense, 10° ≤ 2θ ≤ 90°, by intensity)
2θ = 32.28°, I = 100
2θ = 40.57°, I = 37
2θ = 39.97°, I = 31
2θ = 35.47°, I = 28
2θ = 55.22°, I = 23
2θ = 64.54°, I = 22
2θ = 56.15°, I = 17
2θ = 61.45°, I = 13
2θ = 74.42°, I = 12
2θ = 77.90°, I = 11

=====

Entry 3:
This entry pairs a crystal structure of Pd2PtPb6 with its calculated powder diffractogram. Radiation: Cu Kα (weighted mean of Kα1 and Kα2). Structure: DFT lattice parameters and positions (PBE).

Atomic structure:
```
data_Pd2PtPb6
_chemical_formula_sum 'Pd2 Pt1 Pb6'
_symmetry_space_group_name_H-M 'P 1'
_symmetry_Int_Tables_number 1
_symmetry_space_group_name_Hall 'P 1'
_cell_length_a 7.322
_cell_length_b 7.322
_cell_length_c 9.759
_cell_angle_alpha 125.99
_cell_angle_beta 125.99
_cell_angle_gamma 38.74
loop_
_atom_site_label
_atom_site_type_symbol
_atom_site_fract_x
_atom_site_fract_y
_atom_site_fract_z
Pd1 Pd 0.149 0.149 0.084
Pd2 Pd 0.851 0.851 0.916
Pt1 Pt 0.000 0.000 0.500
Pb1 Pb 0.054 0.054 0.262
Pb2 Pb 0.237 0.237 0.865
Pb3 Pb 0.361 0.361 0.460
Pb4 Pb 0.639 0.639 0.540
Pb5 Pb 0.763 0.763 0.135
Pb6 Pb 0.946 0.946 0.738
```

Peak list (10 most intense, 10° ≤ 2θ ≤ 90°, by intensity)
2θ = 38.39°, I = 100
2θ = 38.66°, I = 97
2θ = 26.65°, I = 67
2θ = 37.02°, I = 66
2θ = 20.04°, I = 50
2θ = 39.05°, I = 46
2θ = 54.90°, I = 34
2θ = 27.30°, I = 28
2θ = 25.44°, I = 28
2θ = 27.86°, I = 26

=====

Entry 4:
This entry pairs a crystal structure of Pd3PtPb6 with its calculated powder diffractogram. Radiation: Cu Kα (weighted mean of Kα1 and Kα2). Structure: DFT lattice parameters and positions (PBE).

Atomic structure:
```
data_Pd3PtPb6
_chemical_formula_sum 'Pd6 Pt2 Pb12'
_symmetry_space_group_name_H-M 'P 1'
_symmetry_Int_Tables_number 1
_symmetry_space_group_name_Hall 'P 1'
_cell_length_a 10.989
_cell_length_b 3.674
_cell_length_c 12.985
_cell_angle_alpha 90.00
_cell_angle_beta 110.11
_cell_angle_gamma 90.00
loop_
_atom_site_label
_atom_site_type_symbol
_atom_site_fract_x
_atom_site_fract_y
_atom_site_fract_z
Pd1 Pd 0.104 0.250 0.061
Pd2 Pd 0.308 0.750 0.477
Pd3 Pd 0.334 0.250 0.862
Pd4 Pd 0.666 0.750 0.138
Pd5 Pd 0.692 0.250 0.523
Pd6 Pd 0.896 0.750 0.939
Pt1 Pt 0.064 0.250 0.713
Pt2 Pt 0.936 0.750 0.287
Pb1 Pb 0.096 0.250 0.439
Pb2 Pb 0.141 0.750 0.902
Pb3 Pb 0.181 0.750 0.235
Pb4 Pb 0.256 0.750 0.682
Pb5 Pb 0.444 0.250 0.097
Pb6 Pb 0.496 0.250 0.618
Pb7 Pb 0.504 0.750 0.382
Pb8 Pb 0.556 0.750 0.903
Pb9 Pb 0.744 0.250 0.318
Pb10 Pb 0.819 0.250 0.765
Pb11 Pb 0.859 0.250 0.098
Pb12 Pb 0.904 0.750 0.561
```

Peak list (10 most intense, 10° ≤ 2θ ≤ 90°, by intensity)
2θ = 32.89°, I = 100
2θ = 35.97°, I = 79
2θ = 35.76°, I = 77
2θ = 28.41°, I = 70
2θ = 32.19°, I = 62
2θ = 31.97°, I = 60
2θ = 49.63°, I = 59
2θ = 33.39°, I = 50
2θ = 37.69°, I = 43
2θ = 34.17°, I = 39

=====

Entry 5:
This entry pairs a crystal structure of Pd4Pt2Pb with its calculated powder diffractogram. Radiation: Cu Kα (weighted mean of Kα1 and Kα2). Structure: DFT lattice parameters and positions (PBE).

Atomic structure:
```
data_Pd4Pt2Pb
_chemical_formula_sum 'Pd4 Pt2 Pb1'
_symmetry_space_group_name_H-M 'P 1'
_symmetry_Int_Tables_number 1
_symmetry_space_group_name_Hall 'P 1'
_cell_length_a 4.045
_cell_length_b 4.860
_cell_length_c 6.521
_cell_angle_alpha 97.72
_cell_angle_beta 90.13
_cell_angle_gamma 114.50
loop_
_atom_site_label
_atom_site_type_symbol
_atom_site_fract_x
_atom_site_fract_y
_atom_site_fract_z
Pd1 Pd 0.073 0.146 0.206
Pd2 Pd 0.213 0.425 0.649
Pd3 Pd 0.787 0.575 0.351
Pd4 Pd 0.927 0.854 0.794
Pt1 Pt 0.356 0.712 0.064
Pt2 Pt 0.644 0.288 0.936
Pb1 Pb 0.500 0.000 0.500
```

Peak list (10 most intense, 10° ≤ 2θ ≤ 90°, by intensity)
2θ = 38.28°, I = 100
2θ = 38.95°, I = 96
2θ = 44.10°, I = 33
2θ = 44.81°, I = 33
2θ = 45.75°, I = 30
2θ = 64.55°, I = 22
2θ = 65.97°, I = 20
2θ = 78.16°, I = 12
2θ = 79.18°, I = 12
2θ = 24.24°, I = 11

=====

Entry 6:
This entry pairs a crystal structure of PuPd2Pb with its calculated powder diffractogram. Radiation: Cu Kα (weighted mean of Kα1 and Kα2). Structure: DFT lattice parameters and positions (PBE).

Atomic structure:
```
data_PuPd2Pb
_chemical_formula_sum 'Pu2 Pd4 Pb2'
_symmetry_space_group_name_H-M 'P 1'
_symmetry_Int_Tables_number 1
_symmetry_space_group_name_Hall 'P 1'
_cell_length_a 5.752
_cell_length_b 4.278
_cell_length_c 7.263
_cell_angle_alpha 90.00
_cell_angle_beta 90.00
_cell_angle_gamma 90.00
loop_
_atom_site_label
_atom_site_type_symbol
_atom_site_fract_x
_atom_site_fract_y
_atom_site_fract_z
Pu1 Pu 0.250 0.000 0.247
Pu2 Pu 0.750 0.000 0.753
Pd1 Pd 0.000 0.500 0.000
Pd2 Pd 0.250 0.000 0.847
Pd3 Pd 0.500 0.500 0.000
Pd4 Pd 0.750 0.000 0.153
Pb1 Pb 0.250 0.500 0.612
Pb2 Pb 0.750 0.500 0.388
```

Peak list (10 most intense, 10° ≤ 2θ ≤ 90°, by intensity)
2θ = 28.77°, I = 100
2θ = 32.34°, I = 83
2θ = 36.00°, I = 64
2θ = 39.75°, I = 61
2θ = 31.10°, I = 52
2θ = 40.42°, I = 51
2θ = 42.25°, I = 51
2θ = 59.90°, I = 33
2θ = 39.99°, I = 33
2θ = 64.48°, I = 29

=====

Entry 7:
This entry pairs a crystal structure of Pu5Pd4Pb with its calculated powder diffractogram. Radiation: Cu Kα (weighted mean of Kα1 and Kα2). Structure: DFT lattice parameters and positions (PBE).

Atomic structure:
```
data_Pu5Pd4Pb
_chemical_formula_sum 'Pu5 Pd4 Pb1'
_symmetry_space_group_name_H-M 'P 1'
_symmetry_Int_Tables_number 1
_symmetry_space_group_name_Hall 'P 1'
_cell_length_a 3.847
_cell_length_b 3.847
_cell_length_c 14.887
_cell_angle_alpha 90.00
_cell_angle_beta 90.00
_cell_angle_gamma 90.00
loop_
_atom_site_label
_atom_site_type_symbol
_atom_site_fract_x
_atom_site_fract_y
_atom_site_fract_z
Pu1 Pu 0.000 0.000 0.000
Pu2 Pu 0.000 0.000 0.177
Pu3 Pu 0.000 0.000 0.381
Pu4 Pu 0.000 0.000 0.619
Pu5 Pu 0.000 0.000 0.823
Pd1 Pd 0.500 0.500 0.091
Pd2 Pd 0.500 0.500 0.283
Pd3 Pd 0.500 0.500 0.717
Pd4 Pd 0.500 0.500 0.909
Pb1 Pb 0.500 0.500 0.500
```

Peak list (10 most intense, 10° ≤ 2θ ≤ 90°, by intensity)
2θ = 38.22°, I = 100
2θ = 32.93°, I = 99
2θ = 62.34°, I = 51
2θ = 47.26°, I = 37
2θ = 23.12°, I = 20
2θ = 33.50°, I = 18
2θ = 78.65°, I = 17
2θ = 81.79°, I = 16
2θ = 66.10°, I = 13
2θ = 69.06°, I = 12

=====

Entry 8:
This entry pairs a crystal structure of Pu2PdPb with its calculated powder diffractogram. Radiation: Cu Kα (weighted mean of Kα1 and Kα2). Structure: DFT lattice parameters and positions (PBE).

Atomic structure:
```
data_Pu2PdPb
_chemical_formula_sum 'Pu2 Pd1 Pb1'
_symmetry_space_group_name_H-M 'P 1'
_symmetry_Int_Tables_number 1
_symmetry_space_group_name_Hall 'P 1'
_cell_length_a 4.436
_cell_length_b 4.436
_cell_length_c 4.754
_cell_angle_alpha 90.00
_cell_angle_beta 90.00
_cell_angle_gamma 90.00
loop_
_atom_site_label
_atom_site_type_symbol
_atom_site_fract_x
_atom_site_fract_y
_atom_site_fract_z
Pu1 Pu 0.000 0.500 0.000
Pu2 Pu 0.500 0.000 0.000
Pd1 Pd 0.000 0.000 0.500
Pb1 Pb 0.500 0.500 0.500
```

Peak list (10 most intense, 10° ≤ 2θ ≤ 90°, by intensity)
2θ = 34.25°, I = 100
2θ = 40.68°, I = 31
2θ = 69.92°, I = 26
2θ = 56.77°, I = 24
2θ = 37.85°, I = 19
2θ = 66.05°, I = 15
2θ = 72.16°, I = 12
2θ = 58.89°, I = 11
2θ = 18.66°, I = 4
2θ = 88.08°, I = 4

=====

Entry 9:
This entry pairs a crystal structure of Rb3Pd4Pb4 with its calculated powder diffractogram. Radiation: Cu Kα (weighted mean of Kα1 and Kα2). Structure: DFT lattice parameters and positions (PBE).

Atomic structure:
```
data_Rb3Pd4Pb4
_chemical_formula_sum 'Rb3 Pd4 Pb4'
_symmetry_space_group_name_H-M 'P 1'
_symmetry_Int_Tables_number 1
_symmetry_space_group_name_Hall 'P 1'
_cell_length_a 7.498
_cell_length_b 7.498
_cell_length_c 7.498
_cell_angle_alpha 109.47
_cell_angle_beta 109.47
_cell_angle_gamma 109.47
loop_
_atom_site_label
_atom_site_type_symbol
_atom_site_fract_x
_atom_site_fract_y
_atom_site_fract_z
Rb1 Rb 0.000 0.500 0.500
Rb2 Rb 0.500 0.000 0.500
Rb3 Rb 0.500 0.500 0.000
Pd1 Pd 0.000 0.000 0.755
Pd2 Pd 0.000 0.755 0.000
Pd3 Pd 0.245 0.245 0.245
Pd4 Pd 0.755 0.000 0.000
Pb1 Pb 0.000 0.000 0.383
Pb2 Pb 0.000 0.383 0.000
Pb3 Pb 0.383 0.000 0.000
Pb4 Pb 0.617 0.617 0.617
```

Peak list (10 most intense, 10° ≤ 2θ ≤ 90°, by intensity)
2θ = 44.39°, I = 100
2θ = 29.17°, I = 86
2θ = 32.71°, I = 80
2θ = 38.92°, I = 68
2θ = 14.47°, I = 54
2θ = 25.20°, I = 46
2θ = 66.58°, I = 39
2θ = 81.74°, I = 30
2θ = 49.37°, I = 27
2θ = 20.52°, I = 21

=====

Entry 10:
This entry pairs a crystal structure of RbPd2Pb9 with its calculated powder diffractogram. Radiation: Cu Kα (weighted mean of Kα1 and Kα2). Structure: DFT lattice parameters and positions (PBE).

Atomic structure:
```
data_RbPd2Pb9
_chemical_formula_sum 'Rb2 Pd4 Pb18'
_symmetry_space_group_name_H-M 'P 1'
_symmetry_Int_Tables_number 1
_symmetry_space_group_name_Hall 'P 1'
_cell_length_a 10.211
_cell_length_b 10.211
_cell_length_c 10.211
_cell_angle_alpha 99.88
_cell_angle_beta 99.88
_cell_angle_gamma 131.05
loop_
_atom_site_label
_atom_site_type_symbol
_atom_site_fract_x
_atom_site_fract_y
_atom_site_fract_z
Rb1 Rb 0.375 0.625 0.750
Rb2 Rb 0.625 0.375 0.250
Pd1 Pd 0.000 0.000 0.000
Pd2 Pd 0.000 0.000 0.500
Pd3 Pd 0.000 0.500 0.000
Pd4 Pd 0.500 0.000 0.500
Pb1 Pb 0.125 0.561 0.313
Pb2 Pb 0.125 0.812 0.565
Pb3 Pb 0.125 0.875 0.250
Pb4 Pb 0.188 0.252 0.313
Pb5 Pb 0.188 0.875 0.935
Pb6 Pb 0.252 0.188 0.813
Pb7 Pb 0.252 0.439 0.065
Pb8 Pb 0.439 0.252 0.565
Pb9 Pb 0.439 0.875 0.187
Pb10 Pb 0.561 0.125 0.813
Pb11 Pb 0.561 0.748 0.435
Pb12 Pb 0.748 0.561 0.935
Pb13 Pb 0.748 0.812 0.187
Pb14 Pb 0.812 0.125 0.065
Pb15 Pb 0.812 0.748 0.687
Pb16 Pb 0.875 0.125 0.750
Pb17 Pb 0.875 0.188 0.435
Pb18 Pb 0.875 0.439 0.687
```

Peak list (10 most intense, 10° ≤ 2θ ≤ 90°, by intensity)
2θ = 35.77°, I = 100
2θ = 30.14°, I = 75
2θ = 30.42°, I = 42
2θ = 12.44°, I = 27
2θ = 37.25°, I = 25
2θ = 35.30°, I = 24
2θ = 32.47°, I = 21
2θ = 37.94°, I = 19
2θ = 59.98°, I = 19
2θ = 13.47°, I = 16

=====

Entry 11:
This entry pairs a crystal structure of RbPd6Pb6 with its calculated powder diffractogram. Radiation: Cu Kα (weighted mean of Kα1 and Kα2). Structure: DFT lattice parameters and positions (PBE).

Atomic structure:
```
data_RbPd6Pb6
_chemical_formula_sum 'Rb1 Pd6 Pb6'
_symmetry_space_group_name_H-M 'P 1'
_symmetry_Int_Tables_number 1
_symmetry_space_group_name_Hall 'P 1'
_cell_length_a 7.610
_cell_length_b 7.610
_cell_length_c 7.610
_cell_angle_alpha 134.31
_cell_angle_beta 102.44
_cell_angle_gamma 94.93
loop_
_atom_site_label
_atom_site_type_symbol
_atom_site_fract_x
_atom_site_fract_y
_atom_site_fract_z
Rb1 Rb 0.000 0.000 0.000
Pd1 Pd 0.000 0.000 0.500
Pd2 Pd 0.000 0.500 0.000
Pd3 Pd 0.246 0.500 0.746
Pd4 Pd 0.500 0.000 0.000
Pd5 Pd 0.500 0.500 0.500
Pd6 Pd 0.754 0.500 0.254
Pb1 Pb 0.175 0.675 0.500
Pb2 Pb 0.340 0.340 0.000
Pb3 Pb 0.341 0.000 0.341
Pb4 Pb 0.659 0.000 0.659
Pb5 Pb 0.660 0.660 0.000
Pb6 Pb 0.825 0.325 0.500
```

Peak list (10 most intense, 10° ≤ 2θ ≤ 90°, by intensity)
2θ = 39.95°, I = 100
2θ = 30.13°, I = 95
2θ = 35.65°, I = 92
2θ = 41.79°, I = 65
2θ = 66.82°, I = 58
2θ = 39.82°, I = 48
2θ = 30.25°, I = 48
2θ = 35.76°, I = 46
2θ = 62.63°, I = 39
2θ = 37.75°, I = 37

=====

Entry 12:
This entry pairs a crystal structure of RbPd2Pb4 with its calculated powder diffractogram. Radiation: Cu Kα (weighted mean of Kα1 and Kα2). Structure: DFT lattice parameters and positions (PBE).

Atomic structure:
```
data_RbPd2Pb4
_chemical_formula_sum 'Rb4 Pd8 Pb16'
_symmetry_space_group_name_H-M 'P 1'
_symmetry_Int_Tables_number 1
_symmetry_space_group_name_Hall 'P 1'
_cell_length_a 20.381
_cell_length_b 4.792
_cell_length_c 8.226
_cell_angle_alpha 90.00
_cell_angle_beta 90.00
_cell_angle_gamma 90.00
loop_
_atom_site_label
_atom_site_type_symbol
_atom_site_fract_x
_atom_site_fract_y
_atom_site_fract_z
Rb1 Rb 0.122 0.250 0.020
Rb2 Rb 0.378 0.750 0.520
Rb3 Rb 0.622 0.250 0.480
Rb4 Rb 0.878 0.750 0.980
Pd1 Pd 0.039 0.750 0.369
Pd2 Pd 0.231 0.250 0.535
Pd3 Pd 0.269 0.750 0.035
Pd4 Pd 0.461 0.250 0.869
Pd5 Pd 0.539 0.750 0.131
Pd6 Pd 0.731 0.250 0.965
Pd7 Pd 0.769 0.750 0.465
Pd8 Pd 0.961 0.250 0.631
Pb1 Pb 0.031 0.750 0.748
Pb2 Pb 0.094 0.250 0.511
Pb3 Pb 0.189 0.750 0.329
Pb4 Pb 0.200 0.750 0.728
Pb5 Pb 0.300 0.250 0.228
Pb6 Pb 0.311 0.250 0.829
Pb7 Pb 0.406 0.750 0.011
Pb8 Pb 0.469 0.250 0.248
Pb9 Pb 0.531 0.750 0.752
Pb10 Pb 0.594 0.250 0.989
Pb11 Pb 0.689 0.750 0.171
Pb12 Pb 0.700 0.750 0.772
Pb13 Pb 0.800 0.250 0.272
Pb14 Pb 0.811 0.250 0.671
Pb15 Pb 0.906 0.750 0.489
Pb16 Pb 0.969 0.250 0.252
```

Peak list (10 most intense, 10° ≤ 2θ ≤ 90°, by intensity)
2θ = 29.94°, I = 100
2θ = 11.60°, I = 77
2θ = 32.30°, I = 68
2θ = 37.54°, I = 53
2θ = 37.80°, I = 50
2θ = 38.07°, I = 30
2θ = 34.23°, I = 26
2θ = 27.88°, I = 23
2θ = 39.20°, I = 21
2θ = 51.71°, I = 16

=====

Entry 13:
This entry pairs a crystal structure of RbSbPd2Pb2 with its calculated powder diffractogram. Radiation: Cu Kα (weighted mean of Kα1 and Kα2). Structure: DFT lattice parameters and positions (PBE).

Atomic structure:
```
data_RbSbPd2Pb2
_chemical_formula_sum 'Rb1 Sb1 Pd2 Pb2'
_symmetry_space_group_name_H-M 'P 1'
_symmetry_Int_Tables_number 1
_symmetry_space_group_name_Hall 'P 1'
_cell_length_a 5.096
_cell_length_b 5.096
_cell_length_c 7.357
_cell_angle_alpha 90.00
_cell_angle_beta 90.00
_cell_angle_gamma 90.00
loop_
_atom_site_label
_atom_site_type_symbol
_atom_site_fract_x
_atom_site_fract_y
_atom_site_fract_z
Rb1 Rb 0.000 0.000 0.000
Sb1 Sb 0.000 0.000 0.500
Pd1 Pd 0.000 0.500 0.500
Pd2 Pd 0.500 0.000 0.500
Pb1 Pb 0.500 0.500 0.276
Pb2 Pb 0.500 0.500 0.724
```

Peak list (10 most intense, 10° ≤ 2θ ≤ 90°, by intensity)
2θ = 29.96°, I = 100
2θ = 35.23°, I = 64
2θ = 12.03°, I = 62
2θ = 46.90°, I = 59
2θ = 24.71°, I = 36
2θ = 34.85°, I = 30
2θ = 50.67°, I = 23
2θ = 62.25°, I = 20
2θ = 17.40°, I = 19
2θ = 71.52°, I = 17